Diffraction record for ZnOsN2. The X-ray powder pattern is computed, not measured: it uses a cell relaxed with GGA-PBE and a wavelength of 1.5418 Å.

Largest 8 diffraction maxima, in order of rising 2θ, 2θ from 10° to 80°:
2theta  I_rel  hkl
20.78  37  1 1 0
21.73  15  0 1 1
31.23  32  2 0 0
33.77  42  0 0 2
35.62  22  2 0 1
36.28  100  1 2 1
46.65  20  2 0 2
62.04  25  1 2 3

abc: 5.7285 6.4179 5.3090
angles: 90.00 90.00 90.00
Space group Pna2_1 (No. 33)
Asymmetric unit:
Zn: 0.0604 0.1152 0.0000 (multiplicity 4)
Os: 0.0503 0.5992 0.9768 (multiplicity 4)
N: 0.1150 0.6394 0.3401 (multiplicity 4)
N: 0.1192 0.1491 0.3825 (multiplicity 4)